Entry 1:
Starting from a structure optimized by DFT (GGA-PBE), the X-ray powder pattern of HoTmIn2Fe4 was computed for CuKα.

Largest 12 diffraction maxima, in order of rising 2θ, 2θ = 10–90°:
- 2θ = 31.24°, I 100.0, hkl 1 1 1
- 2θ = 33.47°, I 15.2, hkl 1 0 2
- 2θ = 35.76°, I 27.3, hkl 0 2 0
- 2θ = 37.23°, I 24.8, hkl 0 0 3
- 2θ = 38.09°, I 67.3, hkl 1 1 2
- 2θ = 41.49°, I 20.4, hkl 0 1 3
- 2θ = 43.87°, I 18.7, hkl 0 2 2
- 2θ = 44.47°, I 13.5, hkl 1 2 1
- 2θ = 45.65°, I 27.3, hkl 2 0 0
- 2θ = 47.64°, I 12.9, hkl 1 1 3
- 2θ = 61.45°, I 14.5, hkl 1 3 1
- 2θ = 65.80°, I 12.9, hkl 1 3 2

Structural model:
Unit cell a=3.975 b=5.022 c=7.245 alpha=90.00 beta=90.00 gamma=90.00
Space group Pmm2 (No. 25)
Inequivalent atoms, fractional coordinates:
Ho (0.000, 0.000, 0.000)
Tm (0.000, 0.500, 0.580)
In (0.500, 0.000, 0.639)
In (0.500, 0.500, 0.942)
Fe (0.000, 0.000, 0.375)
Fe (0.000, 0.500, 0.207)
Fe (0.500, 0.250, 0.291)


Entry 2:
Starting from a structure optimized by DFT (GGA-PBE), the X-ray powder pattern of Ho3Lu3FeSb2 was computed for CuKα.

Largest 12 diffraction maxima, in order of rising 2θ, 2θ = 10–90°:
- 2θ = 31.11°, I 100.0, hkl 1 1 1
- 2θ = 33.72°, I 53.0, hkl 2 0 1
- 2θ = 34.00°, I 64.6, hkl 2 1 0
- 2θ = 38.72°, I 23.1, hkl 3 0 0
- 2θ = 40.67°, I 30.8, hkl 2 1 1
- 2θ = 44.14°, I 21.3, hkl 0 0 2
- 2θ = 52.27°, I 17.2, hkl 3 1 1
- 2θ = 56.86°, I 30.0, hkl 2 1 2
- 2θ = 60.14°, I 12.5, hkl 3 0 2
- 2θ = 62.26°, I 20.8, hkl 3 2 1
- 2θ = 65.38°, I 15.1, hkl 4 1 1
- 2θ = 73.06°, I 8.7, hkl 1 1 3

Structural model:
Unit cell a=8.0560 b=8.0560 c=4.1035 alpha=90.00 beta=90.00 gamma=120.00
Space group P-62m (No. 189)
Inequivalent atoms, fractional coordinates:
Ho (0.0000, 0.3933, 0.0000)
Lu (0.0000, 0.7690, 0.5000)
Fe (0.0000, 0.0000, 0.0000)
Sb (0.3333, 0.6667, 0.5000)


Entry 3:
Starting from a structure optimized by DFT (GGA-PBE), the X-ray powder pattern of Ho3MgFe2 was computed for CuKα.

Largest 12 diffraction maxima, in order of rising 2θ, 2θ = 10–90°:
- 2θ = 15.00°, I 78.7, hkl 1 0 0
- 2θ = 25.05°, I 23.8, hkl 0 0 1
- 2θ = 29.32°, I 13.7, hkl 1 0 1
- 2θ = 30.27°, I 78.5, hkl 2 0 0
- 2θ = 36.51°, I 43.5, hkl 1 1 1
- 2θ = 39.68°, I 100.0, hkl 2 0 1
- 2θ = 53.18°, I 14.3, hkl 3 0 1
- 2θ = 53.78°, I 35.8, hkl 2 2 0
- 2θ = 60.19°, I 13.6, hkl 2 2 1
- 2θ = 60.82°, I 22.1, hkl 2 0 2
- 2θ = 68.85°, I 19.6, hkl 4 0 1
- 2θ = 77.59°, I 20.0, hkl 2 2 2

Structural model:
Unit cell a=6.8199 b=6.8199 c=3.5554 alpha=90.00 beta=90.00 gamma=120.00
Space group P6/mmm (No. 191)
Inequivalent atoms, fractional coordinates:
Ho (0.0000, 0.5000, 0.0000)
Mg (0.0000, 0.0000, 0.5000)
Fe (0.3333, 0.6667, 0.5000)


Entry 4:
Starting from a structure optimized by DFT (GGA-PBE), the X-ray powder pattern of Ho2NbFeSi2 was computed for CuKα.

Largest 12 diffraction maxima, in order of rising 2θ, 2θ = 10–90°:
- 2θ = 25.81°, I 78.9, hkl 1 0 1
- 2θ = 32.47°, I 26.1, hkl 1 1 0
- 2θ = 33.34°, I 100.0, hkl 1 0 2
- 2θ = 34.71°, I 95.5, hkl 1 1 1
- 2θ = 36.33°, I 36.5, hkl 0 0 3
- 2θ = 40.78°, I 52.9, hkl 1 1 2
- 2θ = 46.58°, I 52.8, hkl 2 0 0
- 2θ = 54.01°, I 21.9, hkl 2 1 1
- 2θ = 58.48°, I 40.2, hkl 2 1 2
- 2θ = 60.13°, I 22.6, hkl 1 1 4
- 2θ = 60.46°, I 32.7, hkl 2 0 3
- 2θ = 86.03°, I 17.8, hkl 2 1 5

Structural model:
Unit cell a=3.900 b=3.900 c=7.418 alpha=90.00 beta=90.00 gamma=90.00
Space group P-4m2 (No. 115)
Inequivalent atoms, fractional coordinates:
Ho (0.000, 0.500, 0.151)
Nb (0.500, 0.500, 0.500)
Fe (0.000, 0.000, 0.500)
Si (0.000, 0.500, 0.727)


Entry 5:
Starting from a structure optimized by DFT (GGA-PBE), the X-ray powder pattern of NdHoFe2Si2 was computed for CuKα.

Largest 12 diffraction maxima, in order of rising 2θ, 2θ = 10–90°:
- 2θ = 25.82°, I 100.0, hkl 1 0 1
- 2θ = 31.34°, I 35.5, hkl 1 1 0
- 2θ = 34.18°, I 44.2, hkl 1 1 1
- 2θ = 34.96°, I 67.2, hkl 1 0 2
- 2θ = 41.70°, I 66.9, hkl 1 1 2
- 2θ = 44.91°, I 50.2, hkl 2 0 0
- 2θ = 52.53°, I 29.6, hkl 2 1 1
- 2θ = 58.14°, I 30.8, hkl 2 1 2
- 2θ = 60.18°, I 22.9, hkl 1 0 4
- 2θ = 62.20°, I 19.9, hkl 2 0 3
- 2θ = 78.15°, I 21.6, hkl 2 1 4
- 2θ = 80.62°, I 18.6, hkl 3 1 2

Structural model:
Unit cell a=4.036 b=4.036 c=6.652 alpha=90.00 beta=90.00 gamma=90.00
Space group P4mm (No. 99)
Inequivalent atoms, fractional coordinates:
Nd (0.000, 0.000, 0.000)
Ho (0.500, 0.500, 0.365)
Fe (0.000, 0.500, 0.666)
Si (0.000, 0.000, 0.495)
Si (0.500, 0.500, 0.840)


Entry 6:
Starting from a structure optimized by DFT (GGA-PBE), the X-ray powder pattern of HoFe2Ni3 was computed for CuKα.

Largest 12 diffraction maxima, in order of rising 2θ, 2θ = 10–90°:
- 2θ = 30.53°, I 15.6, hkl 0 2 1
- 2θ = 30.90°, I 43.0, hkl 1 1 1
- 2θ = 36.51°, I 25.2, hkl 1 3 0
- 2θ = 37.44°, I 13.2, hkl 2 0 0
- 2θ = 42.04°, I 15.0, hkl 0 4 0
- 2θ = 43.16°, I 100.0, hkl 1 3 1
- 2θ = 43.97°, I 34.4, hkl 2 0 1
- 2θ = 45.36°, I 29.6, hkl 0 0 2
- 2θ = 59.57°, I 11.9, hkl 1 3 2
- 2θ = 63.53°, I 13.9, hkl 0 4 2
- 2θ = 64.38°, I 13.1, hkl 2 2 2
- 2θ = 71.49°, I 16.3, hkl 3 3 1

Structural model:
Unit cell a=4.804 b=8.598 c=3.999 alpha=90.00 beta=90.00 gamma=90.00
Space group Cmmm (No. 65)
Inequivalent atoms, fractional coordinates:
Ho (0.000, 0.000, 0.000)
Fe (0.250, 0.250, 0.500)
Ni (0.000, 0.326, 0.000)
Ni (0.000, 0.500, 0.500)


Entry 7:
Starting from a structure optimized by DFT (GGA-PBE), the X-ray powder pattern of Ho3Fe7Ni2 was computed for CuKα.

Largest 12 diffraction maxima, in order of rising 2θ, 2θ = 10–90°:
- 2θ = 20.94°, I 13.0, hkl 1 0 1
- 2θ = 32.88°, I 52.1, hkl 1 0 7
- 2θ = 35.87°, I 34.9, hkl 0 1 8
- 2θ = 36.12°, I 56.9, hkl 1 1 0
- 2θ = 42.12°, I 35.8, hkl 0 2 1
- 2θ = 42.51°, I 100.0, hkl 1 1 6
- 2θ = 44.16°, I 12.2, hkl 0 0 12
- 2θ = 45.69°, I 12.5, hkl 0 1 11
- 2θ = 62.91°, I 16.2, hkl 2 1 7
- 2θ = 64.79°, I 12.4, hkl 1 2 8
- 2θ = 69.34°, I 22.2, hkl 3 0 6
- 2θ = 76.63°, I 19.9, hkl 2 2 0

Structural model:
Unit cell a=4.9739 b=4.9739 c=24.6117 alpha=90.00 beta=90.00 gamma=120.00
Space group R-3m (No. 166, hexagonal axes)
Inequivalent atoms, fractional coordinates:
Ho (0.0000, 0.0000, 0.0000)
Ho (0.0000, 0.0000, 0.1416)
Fe (0.0000, 0.0000, 0.5000)
Fe (0.0005, 0.5002, 0.0822)
Ni (0.0000, 0.0000, 0.3326)


Entry 8:
Starting from a structure optimized by DFT (GGA-PBE), the X-ray powder pattern of HoFe3Ni2 was computed for CuKα.

Largest 12 diffraction maxima, in order of rising 2θ, 2θ = 10–90°:
- 2θ = 30.77°, I 56.2, hkl 1 1 1
- 2θ = 31.02°, I 37.6, hkl 0 2 1
- 2θ = 35.82°, I 16.5, hkl 2 0 0
- 2θ = 36.48°, I 34.9, hkl 1 3 0
- 2θ = 41.86°, I 44.5, hkl 2 2 0
- 2θ = 42.63°, I 17.5, hkl 0 4 0
- 2θ = 42.79°, I 56.4, hkl 2 0 1
- 2θ = 43.36°, I 100.0, hkl 1 3 1
- 2θ = 46.20°, I 39.7, hkl 0 0 2
- 2θ = 60.25°, I 15.8, hkl 1 3 2
- 2θ = 64.09°, I 24.2, hkl 2 2 2
- 2θ = 69.59°, I 23.0, hkl 3 3 1

Structural model:
Unit cell a=5.013 b=8.483 c=3.930 alpha=90.00 beta=90.00 gamma=90.00
Space group Cmmm (No. 65)
Inequivalent atoms, fractional coordinates:
Ho (0.000, 0.000, 0.000)
Fe (0.000, 0.341, 0.000)
Fe (0.000, 0.500, 0.500)
Ni (0.250, 0.250, 0.500)


Entry 9:
Starting from a structure optimized by DFT (GGA-PBE), the X-ray powder pattern of YHo2Fe8Ni was computed for CuKα.

Largest 12 diffraction maxima, in order of rising 2θ, 2θ = 10–90°:
- 2θ = 10.89°, I 20.7, hkl 0 0 3
- 2θ = 32.95°, I 46.6, hkl 1 0 7
- 2θ = 35.73°, I 54.8, hkl 1 1 0
- 2θ = 35.99°, I 33.7, hkl 0 1 8
- 2θ = 41.66°, I 35.2, hkl 0 2 1
- 2θ = 42.29°, I 100.0, hkl 1 1 6
- 2θ = 44.19°, I 17.0, hkl 0 2 4
- 2θ = 45.65°, I 19.5, hkl 2 0 5
- 2θ = 45.97°, I 21.3, hkl 0 1 11
- 2θ = 62.43°, I 14.9, hkl 2 1 7
- 2θ = 68.69°, I 22.1, hkl 3 0 6
- 2θ = 75.69°, I 21.8, hkl 2 2 0

Structural model:
Unit cell a=5.0263 b=5.0263 c=24.3672 alpha=90.00 beta=90.00 gamma=120.00
Space group R-3m (No. 166, hexagonal axes)
Inequivalent atoms, fractional coordinates:
Y (0.0000, 0.0000, 0.0000)
Ho (0.0000, 0.0000, 0.1419)
Fe (0.0000, 0.0000, 0.3331)
Fe (0.0014, 0.5007, 0.9185)
Ni (0.0000, 0.0000, 0.5000)


Entry 10:
Starting from a structure optimized by DFT (GGA-PBE), the X-ray powder pattern of YHo2Fe6Ni3 was computed for CuKα.

Largest 12 diffraction maxima, in order of rising 2θ, 2θ = 10–90°:
- 2θ = 10.71°, I 18.5, hkl 0 0 3
- 2θ = 32.77°, I 44.0, hkl 1 0 7
- 2θ = 35.72°, I 32.6, hkl 0 1 8
- 2θ = 36.19°, I 54.2, hkl 1 1 0
- 2θ = 42.20°, I 32.0, hkl 0 2 1
- 2θ = 42.49°, I 100.0, hkl 1 1 6
- 2θ = 44.62°, I 17.0, hkl 0 2 4
- 2θ = 45.45°, I 22.1, hkl 0 1 11
- 2θ = 46.02°, I 19.4, hkl 2 0 5
- 2θ = 62.94°, I 13.7, hkl 2 1 7
- 2θ = 69.42°, I 21.8, hkl 3 0 6
- 2θ = 76.81°, I 21.0, hkl 2 2 0

Structural model:
Unit cell a=4.9641 b=4.9641 c=24.7869 alpha=90.00 beta=90.00 gamma=120.00
Space group R-3m (No. 166, hexagonal axes)
Inequivalent atoms, fractional coordinates:
Y (0.0000, 0.0000, 0.0000)
Ho (0.0000, 0.0000, 0.1418)
Fe (0.0022, 0.5011, 0.9181)
Ni (0.0000, 0.0000, 0.3334)
Ni (0.0000, 0.0000, 0.5000)


Entry 11:
Starting from a structure optimized by DFT (GGA-PBE), the X-ray powder pattern of Ho2FeSi4Os was computed for CuKα.

Largest 12 diffraction maxima, in order of rising 2θ, 2θ = 10–90°:
- 2θ = 11.29°, I 49.4, hkl 0 0 1
- 2θ = 21.56°, I 35.4, hkl 1 0 -1
- 2θ = 30.72°, I 62.2, hkl 1 1 0
- 2θ = 31.15°, I 100.0, hkl 1 1 -1
- 2θ = 31.96°, I 74.6, hkl 0 1 2
- 2θ = 34.37°, I 63.3, hkl 1 0 2
- 2θ = 34.43°, I 75.3, hkl 1 1 1
- 2θ = 36.27°, I 65.5, hkl 1 0 -3
- 2θ = 41.27°, I 70.6, hkl 0 1 3
- 2θ = 41.67°, I 40.9, hkl 2 0 -1
- 2θ = 45.30°, I 47.3, hkl 0 2 0
- 2θ = 58.08°, I 31.7, hkl 1 2 2

Structural model:
Unit cell a=4.341 b=4.004 c=8.029 alpha=90.00 beta=102.53 gamma=90.00
Space group Pm (No. 6)
Inequivalent atoms, fractional coordinates:
Ho (0.000, 0.000, 0.000)
Ho (0.187, 0.500, 0.407)
Fe (0.489, 0.500, 0.814)
Si (0.279, 0.000, 0.707)
Si (0.553, 0.500, 0.101)
Si (0.632, 0.000, 0.288)
Si (0.946, 0.500, 0.719)
Os (0.718, 0.000, 0.587)


Entry 12:
Starting from a structure optimized by DFT (GGA-PBE), the X-ray powder pattern of HoTmFe2Pb was computed for CuKα.

Largest 12 diffraction maxima, in order of rising 2θ, 2θ = 10–90°:
- 2θ = 29.81°, I 54.4, hkl 0 1 3
- 2θ = 33.75°, I 100.0, hkl 1 1 1
- 2θ = 34.65°, I 74.1, hkl 1 0 4
- 2θ = 37.98°, I 12.8, hkl 0 0 6
- 2θ = 39.33°, I 31.2, hkl 0 1 5
- 2θ = 46.97°, I 20.9, hkl 0 2 0
- 2θ = 48.15°, I 19.4, hkl 2 0 0
- 2θ = 56.69°, I 20.7, hkl 1 1 7
- 2θ = 57.67°, I 17.9, hkl 2 1 3
- 2θ = 59.67°, I 31.1, hkl 1 2 4
- 2θ = 63.85°, I 14.8, hkl 2 1 5
- 2θ = 69.54°, I 12.8, hkl 2 2 0

Structural model:
Unit cell a=3.780 b=3.869 c=14.216 alpha=90.00 beta=90.00 gamma=90.00
Space group Amm2 (No. 38)
Inequivalent atoms, fractional coordinates:
Ho (0.000, 0.000, 0.000)
Tm (0.000, 0.000, 0.277)
Fe (0.500, 0.000, 0.432)
Fe (0.500, 0.000, 0.843)
Pb (0.500, 0.000, 0.639)